[1]
Theoretical powder diffraction line list of CeAl3Pd for Cu Kα X-rays, from a GGA-PBE-relaxed structure.
Lines closer than 0.1° are merged.

Top 6 peaks for 15° ≤ 2θ ≤ 90°, sorted by position:
- 22.67°, intensity 58
- 32.25°, intensity 71
- 34.29°, intensity 100
- 43.16°, intensity 36
- 46.25°, intensity 23
- 54.88°, intensity 39

Structure:
abc: 6.2956 6.2956 6.2956
angles: 141.10 141.10 56.18
Positions (direct):
Ce: 0.0000 0.0000 0.0000
Al: 0.3854 0.3854 0.0000
Al: 0.6146 0.6146 0.0000
Al: 0.7500 0.2500 0.5000
Pd: 0.2500 0.7500 0.5000


[2]
Theoretical powder diffraction line list of Bi8Te9 for Cu Kα X-rays, from a GGA-PBE-relaxed structure.
Lines closer than 0.1° are merged.

Top 6 peaks for 15° ≤ 2θ ≤ 90°, sorted by position:
- 27.06°, intensity 100
- 36.90°, intensity 37
- 40.33°, intensity 37
- 49.24°, intensity 20
- 60.66°, intensity 14
- 65.46°, intensity 17

Structure:
abc: 35.6049 35.6049 35.6049
angles: 7.20 7.20 7.20
Positions (direct):
Bi: 0.0870 0.0870 0.0870
Bi: 0.1475 0.1475 0.1475
Bi: 0.3254 0.3254 0.3254
Bi: 0.3822 0.3822 0.3822
Bi: 0.6178 0.6178 0.6178
Bi: 0.6746 0.6746 0.6746
Bi: 0.8525 0.8525 0.8525
Bi: 0.9130 0.9130 0.9130
Te: 0.0326 0.0326 0.0326
Te: 0.2019 0.2019 0.2019
Te: 0.2655 0.2655 0.2655
Te: 0.4363 0.4363 0.4363
Te: 0.5000 0.5000 0.5000
Te: 0.5637 0.5637 0.5637
Te: 0.7345 0.7345 0.7345
Te: 0.7981 0.7981 0.7981
Te: 0.9674 0.9674 0.9674